Starting from a DFT-relaxed cell (PBE, Alexandria), the powder diffractogram of RhW was computed for a wavelength of 1.5418 Å.

The 10 most intense peaks (15 to 90 degrees two-theta), low angle first:
2θ (°)  intensity  index
33.94  2  0 0 3
34.27  6  1 0 1
39.68  100  1 0 2
45.81  16  0 0 4
46.31  33  1 1 0
67.19  20  1 1 4
67.58  11  2 0 0
80.58  11  1 0 6
81.31  25  2 1 2
85.50  11  2 0 4

Structure:
```
data_RhW
_chemical_formula_sum 'Rh2 W2'
_symmetry_space_group_name_H-M 'P 4/n m m'
_symmetry_Int_Tables_number 129
_cell_length_a 2.7724
_cell_length_b 2.7724
_cell_length_c 7.9229
_cell_angle_alpha 90.00
_cell_angle_beta 90.00
_cell_angle_gamma 90.00
loop_
_symmetry_equiv_pos_as_xyz
'x,y,z'
'-x,-y,-z'
'-y+1/2,x,z'
'y+1/2,-x,-z'
'-x+1/2,-y+1/2,z'
'x+1/2,y+1/2,-z'
'y,-x+1/2,z'
'-y,x+1/2,-z'
'x+1/2,-y,-z'
'-x+1/2,y,z'
'-y,-x,-z'
'y,x,z'
'-x,y+1/2,-z'
'x,-y+1/2,z'
'y+1/2,x+1/2,-z'
'-y+1/2,-x+1/2,z'
loop_
_atom_site_label
_atom_site_type_symbol
_atom_site_fract_x
_atom_site_fract_y
_atom_site_fract_z
Rh1 Rh 0.2500 0.2500 0.1297
W1 W 0.2500 0.2500 0.6359
```